1.
CaLa3Ru: computed XRD peak list (Cu Kα (weighted mean of Kα1 and Kα2)), based on a structure optimized by DFT (GGA-PBE).

Main lines, sorted by position (10° ≤ 2θ ≤ 90°):
Position (°2θ), I (rel.), index
13.1, 41, 0 2 0
14.5, 77, 1 1 0
27.3, 46, 0 0 2
29.2, 100, 2 2 0
29.6, 98, 2 2 -2
29.9, 83, 0 4 1
37.7, 31, 2 2 1
38.4, 67, 0 4 2
46.4, 51, 2 6 -1
50.0, 41, 2 2 -4

```
data_CaLa3Ru
_cell_length_a 7.9949
_cell_length_b 13.4741
_cell_length_c 7.5836
_cell_angle_alpha 90.00
_cell_angle_beta 120.66
_cell_angle_gamma 90.00
_space_group_name_H-M_alt 'C 1 2 1'
_space_group_IT_number 5
loop_
_space_group_symop_operation_xyz
'x,y,z'
'-x,y,-z'
'x+1/2,y+1/2,z'
'-x+1/2,y+1/2,-z'
loop_
_atom_site_label
_atom_site_type_symbol
_atom_site_fract_x
_atom_site_fract_y
_atom_site_fract_z
Ca1 Ca 0.0000 0.0000 0.0000
Ca2 Ca 0.0000 0.0839 0.5000
La1 La 0.0000 0.5023 0.0000
La2 La 0.0000 0.5828 0.5000
La3 La 0.2420 0.2575 0.9962
La4 La 0.2463 0.8314 0.4977
Ru1 Ru 0.1093 0.6795 0.2376
```

2.
Pr2GaAs3Rh4: computed XRD peak list (Cu Kα (weighted mean of Kα1 and Kα2)), based on a structure optimized by DFT (GGA-PBE).

Main lines, sorted by position (10° ≤ 2θ ≤ 90°):
Position (°2θ), I (rel.), index
33.7, 62, 1 0 3
34.6, 100, 1 1 2
42.5, 64, 2 0 0
46.6, 18, 1 1 4
49.4, 27, 1 0 5
55.3, 30, 2 1 3
61.6, 21, 2 2 0
67.2, 21, 2 1 5
72.6, 22, 3 1 2
89.4, 14, 2 0 8

```
data_Pr2GaAs3Rh4
_cell_length_a 4.2579
_cell_length_b 4.2579
_cell_length_c 10.2308
_cell_angle_alpha 90.00
_cell_angle_beta 90.00
_cell_angle_gamma 90.00
_space_group_name_H-M_alt 'P -4 m 2'
_space_group_IT_number 115
loop_
_space_group_symop_operation_xyz
'x,y,z'
'y,-x,-z'
'-x,-y,z'
'-y,x,-z'
'-x,y,z'
'-y,-x,-z'
'x,-y,z'
'y,x,-z'
loop_
_atom_site_label
_atom_site_type_symbol
_atom_site_fract_x
_atom_site_fract_y
_atom_site_fract_z
Pr1 Pr 0.0000 0.5000 0.2463
Ga1 Ga 0.5000 0.5000 0.0000
As1 As 0.0000 0.0000 0.0000
As2 As 0.0000 0.5000 0.6354
Rh1 Rh 0.0000 0.0000 0.5000
Rh2 Rh 0.0000 0.5000 0.8728
Rh3 Rh 0.5000 0.5000 0.5000
```

3.
PaMn17Os: computed XRD peak list (Cu Kα (weighted mean of Kα1 and Kα2)), based on a structure optimized by DFT (GGA-PBE).

Main lines, sorted by position (10° ≤ 2θ ≤ 90°):
Position (°2θ), I (rel.), index
21.9, 11, 1 1 0
31.3, 38, 1 1 3
38.5, 30, 3 0 0
39.3, 20, 0 2 4
44.8, 100, 2 2 0
45.0, 16, 0 0 6
45.5, 22, 2 0 5
65.2, 12, 1 4 3
65.3, 10, 2 2 6
74.0, 10, 3 3 3

```
data_PaMn17Os
_cell_length_a 8.1025
_cell_length_b 8.1025
_cell_length_c 12.0942
_cell_angle_alpha 90.00
_cell_angle_beta 90.00
_cell_angle_gamma 120.00
_space_group_name_H-M_alt 'R 3 m'
_space_group_IT_number 160
_space_group_name_Hall 'R 3 -2"'
loop_
_atom_site_label
_atom_site_type_symbol
_atom_site_fract_x
_atom_site_fract_y
_atom_site_fract_z
Pa1 Pa 0.0000 0.0000 0.0000
Mn1 Mn 0.0000 0.0000 0.2551
Mn2 Mn 0.0000 0.0000 0.4432
Mn3 Mn 0.0029 0.5015 0.8492
Mn4 Mn 0.0099 0.5050 0.5032
Mn5 Mn 0.0124 0.3035 0.3550
Mn6 Mn 0.0160 0.5080 0.2064
Os1 Os 0.0000 0.0000 0.6820
```

4.
PmHoNi2H8: computed XRD peak list (Cu Kα (weighted mean of Kα1 and Kα2)), based on a structure optimized by DFT (GGA-PBE).

Main lines, sorted by position (10° ≤ 2θ ≤ 90°):
Position (°2θ), I (rel.), index
25.0, 26, 0 1 2
30.0, 100, 1 0 4
40.5, 45, 1 1 0
45.2, 32, 0 1 8
50.3, 9, 1 1 6
51.2, 22, 0 2 4
62.3, 12, 2 0 8
67.3, 19, 2 1 4
74.0, 14, 1 1 12
77.0, 13, 1 2 8

```
data_PmHoNi2H8
_cell_length_a 4.4508
_cell_length_b 4.4508
_cell_length_c 18.8126
_cell_angle_alpha 90.00
_cell_angle_beta 90.00
_cell_angle_gamma 120.00
_space_group_name_H-M_alt 'R -3 m'
_space_group_IT_number 166
_space_group_name_Hall '-R 3 2"'
loop_
_atom_site_label
_atom_site_type_symbol
_atom_site_fract_x
_atom_site_fract_y
_atom_site_fract_z
Pm1 Pm 0.0000 0.0000 0.0000
Ho1 Ho 0.0000 0.0000 0.5000
Ni1 Ni 0.0000 0.0000 0.2570
H1 H 0.0000 0.0000 0.3422
H2 H 0.0347 0.5174 0.5558
```

5.
Zn4SnPt15: computed XRD peak list (Cu Kα (weighted mean of Kα1 and Kα2)), based on a structure optimized by DFT (GGA-PBE).

Main lines, sorted by position (10° ≤ 2θ ≤ 90°):
Position (°2θ), I (rel.), index
22.5, 9, 1 0 0
32.0, 7, 1 1 0
39.4, 100, 1 1 5
45.7, 16, 0 0 10
45.9, 33, 2 0 0
66.8, 21, 2 0 10
67.0, 11, 2 2 0
80.3, 12, 1 1 15
80.6, 26, 3 1 5
84.9, 11, 2 2 10

```
data_Zn4SnPt15
_cell_length_a 3.9524
_cell_length_b 3.9524
_cell_length_c 19.8476
_cell_angle_alpha 90.00
_cell_angle_beta 90.00
_cell_angle_gamma 90.00
_space_group_name_H-M_alt 'P 4/m m m'
_space_group_IT_number 123
_space_group_name_Hall '-P 4 2'
loop_
_atom_site_label
_atom_site_type_symbol
_atom_site_fract_x
_atom_site_fract_y
_atom_site_fract_z
Zn1 Zn 0.0000 0.0000 0.0988
Zn2 Zn 0.0000 0.0000 0.2947
Sn1 Sn 0.0000 0.0000 0.5000
Pt1 Pt 0.0000 0.5000 0.0000
Pt2 Pt 0.0000 0.5000 0.1970
Pt3 Pt 0.0000 0.5000 0.3938
Pt4 Pt 0.5000 0.5000 0.0985
Pt5 Pt 0.5000 0.5000 0.2958
Pt6 Pt 0.5000 0.5000 0.5000
```

6.
Rb4P21I: computed XRD peak list (Cu Kα (weighted mean of Kα1 and Kα2)), based on a structure optimized by DFT (GGA-PBE).

Main lines, sorted by position (10° ≤ 2θ ≤ 90°):
Position (°2θ), I (rel.), index
19.4, 84, 1 3 0
21.4, 44, 1 3 1
22.3, 68, 4 2 1
22.5, 60, 3 1 2
24.1, 34, 4 0 2
27.3, 53, 4 2 2
27.7, 100, 5 3 0
28.0, 86, 1 1 3
28.8, 89, 6 2 1
34.0, 40, 4 2 3

```
data_Rb4P21I
_cell_length_a 22.1065
_cell_length_b 14.0371
_cell_length_c 9.9422
_cell_angle_alpha 90.00
_cell_angle_beta 90.00
_cell_angle_gamma 90.00
_space_group_name_H-M_alt 'C m c m'
_space_group_IT_number 63
_space_group_name_Hall '-C 2c 2'
loop_
_atom_site_label
_atom_site_type_symbol
_atom_site_fract_x
_atom_site_fract_y
_atom_site_fract_z
Rb1 Rb 0.0884 0.1465 0.2500
Rb2 Rb 0.1189 0.5000 0.0000
P1 P 0.0000 0.0529 0.7500
P2 P 0.0000 0.1539 0.5879
P3 P 0.0740 0.2581 0.6360
P4 P 0.1507 0.1670 0.5771
P5 P 0.1734 0.0691 0.7500
P6 P 0.2193 0.2739 0.2500
P7 P 0.2217 0.2803 0.5842
P8 P 0.2294 0.4268 0.2500
I1 I 0.0000 0.3933 0.2500
```

7.
Nb4Co7Ge6: computed XRD peak list (Cu Kα (weighted mean of Kα1 and Kα2)), based on a structure optimized by DFT (GGA-PBE).

Main lines, sorted by position (10° ≤ 2θ ≤ 90°):
Position (°2θ), I (rel.), index
32.7, 18, 2 2 0
36.7, 11, 3 1 0
40.3, 100, 2 2 2
43.7, 12, 3 2 1
46.9, 58, 4 0 0
49.9, 16, 3 3 0
55.6, 14, 3 3 2
68.5, 26, 4 4 0
78.0, 9, 6 2 0
82.6, 21, 6 2 2

```
data_Nb4Co7Ge6
_cell_length_a 7.7474
_cell_length_b 7.7474
_cell_length_c 7.7474
_cell_angle_alpha 90.00
_cell_angle_beta 90.00
_cell_angle_gamma 90.00
_space_group_name_H-M_alt 'I m -3 m'
_space_group_IT_number 229
_space_group_name_Hall '-I 4 2 3'
loop_
_atom_site_label
_atom_site_type_symbol
_atom_site_fract_x
_atom_site_fract_y
_atom_site_fract_z
Nb1 Nb 0.2500 0.2500 0.2500
Co1 Co 0.0000 0.0000 0.0000
Co2 Co 0.0000 0.2500 0.5000
Ge1 Ge 0.0000 0.0000 0.3134
```

8.
SrBiCl5: computed XRD peak list (Cu Kα (weighted mean of Kα1 and Kα2)), based on a structure optimized by DFT (GGA-PBE).

Main lines, sorted by position (10° ≤ 2θ ≤ 90°):
Position (°2θ), I (rel.), index
12.7, 23, 1 1 0
13.4, 73, 1 1 -1
17.2, 21, 0 2 0
18.0, 100, 1 1 1
20.7, 42, 2 0 -2
27.9, 55, 1 3 -1
31.9, 36, 2 0 2
32.5, 23, 3 1 -3
39.7, 25, 2 2 -4
41.0, 20, 3 3 -3

```
data_SrBiCl5
_cell_length_a 10.3565
_cell_length_b 10.3390
_cell_length_c 10.1445
_cell_angle_alpha 90.00
_cell_angle_beta 113.56
_cell_angle_gamma 90.00
_space_group_name_H-M_alt 'C 1 2/c 1'
_space_group_IT_number 15
loop_
_space_group_symop_operation_xyz
'x,y,z'
'-x,-y,-z'
'-x,y,-z+1/2'
'x,-y,z+1/2'
'x+1/2,y+1/2,z'
'-x+1/2,-y+1/2,-z'
'-x+1/2,y+1/2,-z+1/2'
'x+1/2,-y+1/2,z+1/2'
loop_
_atom_site_label
_atom_site_type_symbol
_atom_site_fract_x
_atom_site_fract_y
_atom_site_fract_z
Sr1 Sr 0.0000 0.0791 0.2500
Bi1 Bi 0.2500 0.2500 0.0000
Cl1 Cl 0.0000 0.2191 0.7500
Cl2 Cl 0.0955 0.3062 0.1490
Cl3 Cl 0.1967 0.0028 0.5380
```

9.
NaHg2Te2: computed XRD peak list (Cu Kα (weighted mean of Kα1 and Kα2)), based on a structure optimized by DFT (GGA-PBE).

Main lines, sorted by position (10° ≤ 2θ ≤ 90°):
Position (°2θ), I (rel.), index
13.7, 38, 1 1 0
14.3, 28, 1 1 -1
22.9, 100, 2 2 -1
28.2, 36, 3 1 -2
31.1, 37, 0 4 0
33.0, 50, 0 0 2
35.2, 48, 3 3 -1
35.3, 40, 0 4 1
39.6, 35, 2 2 1
43.9, 35, 3 3 -3

```
data_NaHg2Te2
_cell_length_a 10.5741
_cell_length_b 11.4979
_cell_length_c 7.3417
_cell_angle_alpha 90.00
_cell_angle_beta 132.36
_cell_angle_gamma 90.00
_space_group_name_H-M_alt 'C 1 2/c 1'
_space_group_IT_number 15
loop_
_space_group_symop_operation_xyz
'x,y,z'
'-x,-y,-z'
'-x,y,-z+1/2'
'x,-y,z+1/2'
'x+1/2,y+1/2,z'
'-x+1/2,-y+1/2,-z'
'-x+1/2,y+1/2,-z+1/2'
'x+1/2,-y+1/2,z+1/2'
loop_
_atom_site_label
_atom_site_type_symbol
_atom_site_fract_x
_atom_site_fract_y
_atom_site_fract_z
Na1 Na 0.0000 0.1150 0.2500
Hg1 Hg 0.1823 0.4039 0.7737
Te1 Te 0.0000 0.1610 0.7500
Te2 Te 0.0000 0.3849 0.2500
```

10.
SnPO4F: computed XRD peak list (Cu Kα (weighted mean of Kα1 and Kα2)), based on a structure optimized by DFT (GGA-PBE).

Main lines, sorted by position (10° ≤ 2θ ≤ 90°):
Position (°2θ), I (rel.), index
18.2, 87, 0 1 1
23.8, 37, 0 0 2
25.6, 100, 2 0 1
26.6, 18, 2 1 0
27.6, 54, 0 2 0
36.0, 25, 2 1 2
38.0, 29, 2 2 1
38.8, 22, 0 1 3
43.8, 19, 0 3 1
56.4, 24, 2 1 4

```
data_SnPO4F
_cell_length_a 7.8575
_cell_length_b 6.4538
_cell_length_c 7.4649
_cell_angle_alpha 90.00
_cell_angle_beta 90.00
_cell_angle_gamma 90.00
_space_group_name_H-M_alt 'P n m a'
_space_group_IT_number 62
loop_
_space_group_symop_operation_xyz
'x,y,z'
'-x,-y,-z'
'-x+1/2,-y,z+1/2'
'x+1/2,y,-z+1/2'
'x+1/2,-y+1/2,-z+1/2'
'-x+1/2,y+1/2,z+1/2'
'-x,y+1/2,-z'
'x,-y+1/2,z'
loop_
_atom_site_label
_atom_site_type_symbol
_atom_site_fract_x
_atom_site_fract_y
_atom_site_fract_z
Sn1 Sn 0.1302 0.2500 0.2421
P1 P 0.1296 0.7500 0.1202
O1 O 0.0393 0.2500 0.9871
O2 O 0.1342 0.5620 0.2484
O3 O 0.2121 0.2500 0.4983
F1 F 0.1168 0.7500 0.6533
```

11.
HoZr3Ir2: computed XRD peak list (Cu Kα (weighted mean of Kα1 and Kα2)), based on a structure optimized by DFT (GGA-PBE).

Main lines, sorted by position (10° ≤ 2θ ≤ 90°):
Position (°2θ), I (rel.), index
25.1, 23, 0 2 1
25.9, 48, 1 1 1
32.1, 57, 1 2 1
34.0, 31, 0 2 2
34.5, 100, 1 1 2
38.2, 68, 1 3 0
39.7, 56, 2 0 0
45.3, 22, 0 2 3
45.8, 32, 1 1 3
46.8, 31, 1 3 2

```
data_HoZr3Ir2
_cell_length_a 4.5366
_cell_length_b 8.2730
_cell_length_c 6.8572
_cell_angle_alpha 90.00
_cell_angle_beta 90.00
_cell_angle_gamma 90.00
_space_group_name_H-M_alt 'P m c 21'
_space_group_IT_number 26
loop_
_space_group_symop_operation_xyz
'x,y,z'
'-x,-y,z+1/2'
'-x,y,z'
'x,-y,z+1/2'
loop_
_atom_site_label
_atom_site_type_symbol
_atom_site_fract_x
_atom_site_fract_y
_atom_site_fract_z
Ho1 Ho 0.0000 0.0726 0.0000
Zr1 Zr 0.0000 0.3356 0.6373
Zr2 Zr 0.5000 0.1738 0.3409
Zr3 Zr 0.5000 0.4237 0.9791
Ir1 Ir 0.0000 0.3435 0.2437
Ir2 Ir 0.5000 0.1666 0.7345
```